The following is a theoretical powder X-ray diffraction pattern of LaAsH2Pt. It was derived from a crystal structure in Alexandria, relaxed with PBE, using copper Kα.
Peak positions follow from Bragg's law for the DFT cell and can differ from measured ones.

Main lines, in order of falling intensity (2θ from 10° to 90°):
two_theta	d/Å	I_rel
34.8	2.579	100.0
31.0	2.885	43.4
33.9	2.647	30.0
36.3	2.474	27.6
43.7	2.070	23.7
26.5	3.363	20.3
56.4	1.633	19.2
17.2	5.166	19.0
54.6	1.682	18.1
37.1	2.421	13.3
52.6	1.739	12.1
67.4	1.390	11.2

Atomic structure:
Lattice parameters (Å, degrees): 5.5650 5.5650 6.9570 90.00 90.00 136.34
Element x y z (fractional)
La: 0.2154 0.7846 0.7500
La: 0.7846 0.2154 0.2500
As: 0.0631 0.9369 0.2500
As: 0.9369 0.0631 0.7500
H: 0.3407 0.6593 0.0608
H: 0.3407 0.6593 0.4392
H: 0.6593 0.3407 0.5608
H: 0.6593 0.3407 0.9392
Pt: 0.5000 0.5000 0.0000
Pt: 0.5000 0.5000 0.5000



The following is a theoretical powder X-ray diffraction pattern of La2TcAs2H4. It was derived from a crystal structure in Alexandria, relaxed with PBE, using copper Kα.
Peak positions follow from Bragg's law for the DFT cell and can differ from measured ones.

Main lines, in order of falling intensity (2θ from 10° to 90°):
two_theta	d/Å	I_rel
29.9	2.986	100.0
31.2	2.870	48.5
42.8	2.111	38.6
37.9	2.373	30.2
22.7	3.912	25.9
37.6	2.390	24.6
48.8	1.866	22.7
53.9	1.701	20.3
70.5	1.335	16.9
56.2	1.636	15.0
49.0	1.858	13.6
62.2	1.493	12.5

Atomic structure:
Lattice parameters (Å, degrees): 5.7562 5.7562 5.7562 117.51 117.51 94.36
Element x y z (fractional)
La: 0.2500 0.7500 0.5000
La: 0.7500 0.2500 0.5000
Tc: 0.0000 0.0000 0.0000
As: 0.3176 0.3176 0.0000
As: 0.6824 0.6824 0.0000
H: 0.2112 0.2112 0.4224
H: 0.2112 0.7888 0.0000
H: 0.7888 0.2112 0.0000
H: 0.7888 0.7888 0.5776



The following is a theoretical powder X-ray diffraction pattern of LiAsH2O4. It was derived from a crystal structure in Alexandria, relaxed with PBE, using copper Kα.
Peak positions follow from Bragg's law for the DFT cell and can differ from measured ones.

Main lines, in order of falling intensity (2θ from 10° to 90°):
two_theta	d/Å	I_rel
21.4	4.162	100.0
26.4	3.372	24.4
16.5	5.369	22.0
24.2	3.679	18.4
29.7	3.006	13.7
33.4	2.685	12.1
40.9	2.206	10.7
31.9	2.807	10.0
36.4	2.466	8.4
17.6	5.046	7.8
36.1	2.486	7.8
46.0	1.974	7.7

Atomic structure:
Lattice parameters (Å, degrees): 6.5864 7.8524 7.3588 90.00 90.00 90.00
Element x y z (fractional)
Li: 0.0185 0.2118 0.0000
Li: 0.4815 0.7118 0.5000
Li: 0.5185 0.2882 0.0000
Li: 0.9815 0.7882 0.5000
As: 0.1931 0.5809 0.1730
As: 0.3069 0.0809 0.6730
As: 0.6931 0.9191 0.1730
As: 0.8069 0.4191 0.6730
H: 0.0055 0.8728 0.0548
H: 0.0145 0.3645 0.3299
H: 0.4855 0.8645 0.8299
H: 0.4945 0.3728 0.5548
H: 0.5055 0.6272 0.0548
H: 0.5145 0.1355 0.3299
H: 0.9855 0.6355 0.8299
H: 0.9945 0.1272 0.5548
O: 0.0676 0.0150 0.5914
O: 0.0705 0.6926 0.0086
O: 0.0749 0.3820 0.2001
O: 0.2176 0.6874 0.3705
O: 0.2824 0.1874 0.8705
O: 0.4251 0.8820 0.7001
O: 0.4295 0.1926 0.5086
O: 0.4324 0.5150 0.0914
O: 0.5676 0.4850 0.5914
O: 0.5705 0.8074 0.0086
O: 0.5749 0.1180 0.2001
O: 0.7176 0.8126 0.3705
O: 0.7824 0.3126 0.8705
O: 0.9251 0.6180 0.7001
O: 0.9295 0.3074 0.5086
O: 0.9324 0.9850 0.0914



The following is a theoretical powder X-ray diffraction pattern of LiAs2H3O7. It was derived from a crystal structure in Alexandria, relaxed with PBE, using copper Kα.
Peak positions follow from Bragg's law for the DFT cell and can differ from measured ones.

Main lines, in order of falling intensity (2θ from 10° to 90°):
two_theta	d/Å	I_rel
18.2	4.878	100.0
25.7	3.468	44.7
12.7	6.981	43.7
25.5	3.491	40.4
29.2	3.056	21.9
48.9	1.864	10.6
34.9	2.569	10.6
37.5	2.399	10.4
42.2	2.140	10.4
62.3	1.490	9.9
40.8	2.211	9.6
50.0	1.822	8.9

Atomic structure:
Lattice parameters (Å, degrees): 7.4647 7.4647 5.7117 109.84 109.84 77.91
Element x y z (fractional)
Li: 0.1525 0.8475 0.0000
Li: 0.8475 0.1525 0.0000
As: 0.2711 0.2711 0.0429
As: 0.3476 0.6524 0.5000
As: 0.6524 0.3476 0.5000
As: 0.7289 0.7289 0.9571
H: 0.0222 0.7161 0.4907
H: 0.2839 0.9778 0.5093
H: 0.3105 0.3105 0.6704
H: 0.6895 0.6895 0.3296
H: 0.7161 0.0222 0.4907
H: 0.9778 0.2839 0.5093
O: 0.1330 0.1330 0.0646
O: 0.1446 0.7025 0.6263
O: 0.2110 0.5189 0.1563
O: 0.2309 0.2309 0.7061
O: 0.2975 0.8554 0.3737
O: 0.4200 0.4200 0.5827
O: 0.4811 0.7890 0.8437
O: 0.5189 0.2110 0.1563
O: 0.5800 0.5800 0.4173
O: 0.7025 0.1446 0.6263
O: 0.7691 0.7691 0.2939
O: 0.7890 0.4811 0.8437
O: 0.8554 0.2975 0.3737
O: 0.8670 0.8670 0.9354



The following is a theoretical powder X-ray diffraction pattern of LiAs3H2O9. It was derived from a crystal structure in Alexandria, relaxed with PBE, using copper Kα.
Peak positions follow from Bragg's law for the DFT cell and can differ from measured ones.

Main lines, in order of falling intensity (2θ from 10° to 90°):
two_theta	d/Å	I_rel
14.4	6.170	100.0
20.7	4.292	83.5
10.3	8.579	80.1
22.2	3.997	77.1
20.2	4.401	58.9
14.1	6.283	54.2
38.3	2.348	29.5
27.6	3.232	23.7
20.0	4.438	22.2
26.5	3.358	21.7
23.1	3.856	21.2
28.4	3.141	20.5

Atomic structure:
Lattice parameters (Å, degrees): 9.8365 8.8020 10.2870 90.00 119.29 90.00
Element x y z (fractional)
Li: 0.1211 0.1086 0.0002
Li: 0.1211 0.3914 0.5002
Li: 0.8789 0.6086 0.4998
Li: 0.8789 0.8914 0.9998
As: 0.0996 0.7410 0.3657
As: 0.0996 0.7590 0.8657
As: 0.4213 0.6212 0.4072
As: 0.4213 0.8788 0.9072
As: 0.4272 0.1807 0.7527
As: 0.4272 0.3193 0.2527
As: 0.5728 0.6807 0.7473
As: 0.5728 0.8193 0.2473
As: 0.5787 0.1212 0.0928
As: 0.5787 0.3788 0.5928
As: 0.9004 0.2410 0.1343
As: 0.9004 0.2590 0.6343
H: 0.1599 0.2375 0.7762
H: 0.1599 0.2625 0.2762
H: 0.2463 0.5802 0.0405
H: 0.2463 0.9198 0.5405
H: 0.7537 0.0802 0.4595
H: 0.7537 0.4198 0.9595
H: 0.8401 0.7375 0.7238
H: 0.8401 0.7625 0.2238
O: 0.0720 0.2191 0.8004
O: 0.0720 0.2809 0.3004
O: 0.0729 0.6151 0.4724
O: 0.0729 0.8849 0.9724
O: 0.1551 0.5762 0.9386
O: 0.1551 0.9238 0.4386
O: 0.2151 0.6740 0.2906
O: 0.2151 0.8260 0.7906
O: 0.2597 0.2249 0.1910
O: 0.2597 0.2751 0.6910
O: 0.3744 0.0595 0.9708
O: 0.3744 0.4405 0.4708
O: 0.4062 0.5198 0.2377
O: 0.4062 0.9802 0.7377
O: 0.4245 0.7283 0.5672
O: 0.4245 0.7717 0.0672
O: 0.4838 0.7012 0.8572
O: 0.4838 0.7988 0.3572
O: 0.5162 0.2012 0.6428
O: 0.5162 0.2988 0.1428
O: 0.5755 0.2283 0.9328
O: 0.5755 0.2717 0.4328
O: 0.5938 0.0198 0.2623
O: 0.5938 0.4802 0.7623
O: 0.6256 0.5595 0.5292
O: 0.6256 0.9405 0.0292
O: 0.7403 0.7249 0.3090
O: 0.7403 0.7751 0.8090
O: 0.7849 0.1740 0.2094
O: 0.7849 0.3260 0.7094
O: 0.8449 0.0762 0.5614
O: 0.8449 0.4238 0.0614
O: 0.9271 0.1151 0.0276
O: 0.9271 0.3849 0.5276
O: 0.9280 0.7191 0.6996
O: 0.9280 0.7809 0.1996



The following is a theoretical powder X-ray diffraction pattern of LiZnAsH2O5. It was derived from a crystal structure in Alexandria, relaxed with PBE, using copper Kα.
Peak positions follow from Bragg's law for the DFT cell and can differ from measured ones.

Main lines, in order of falling intensity (2θ from 10° to 90°):
two_theta	d/Å	I_rel
13.2	6.725	100.0
26.0	3.424	78.5
28.4	3.141	73.0
20.0	4.437	65.3
36.4	2.465	40.2
34.3	2.614	29.7
43.6	2.078	20.9
62.8	1.479	20.7
49.1	1.854	17.1
37.9	2.376	13.9
15.7	5.627	11.9
36.9	2.436	11.3

Atomic structure:
Lattice parameters (Å, degrees): 11.2544 8.3870 5.2279 90.00 90.00 90.00
Element x y z (fractional)
Li: 0.1851 0.1802 0.0000
Li: 0.3149 0.6802 0.5000
Li: 0.6851 0.3198 0.0000
Li: 0.8149 0.8198 0.5000
Zn: 0.1263 0.3761 0.4981
Zn: 0.3737 0.8761 0.9981
Zn: 0.6263 0.1239 0.4981
Zn: 0.8737 0.6239 0.9981
As: 0.1641 0.5886 0.9926
As: 0.3359 0.0886 0.4926
As: 0.6641 0.9114 0.9926
As: 0.8359 0.4114 0.4926
H: 0.0173 0.9542 0.3788
H: 0.0254 0.8332 0.6157
H: 0.4746 0.3332 0.1157
H: 0.4827 0.4542 0.8788
H: 0.5173 0.5458 0.3788
H: 0.5254 0.6668 0.6157
H: 0.9746 0.1668 0.1157
H: 0.9827 0.0458 0.8788
O: 0.0233 0.0835 0.0336
O: 0.0359 0.6849 0.9037
O: 0.1645 0.3987 0.8633
O: 0.1829 0.5722 0.3188
O: 0.2191 0.1929 0.3651
O: 0.2809 0.6929 0.8651
O: 0.3171 0.0722 0.8188
O: 0.3355 0.8987 0.3633
O: 0.4641 0.1849 0.4037
O: 0.4767 0.5835 0.5336
O: 0.5233 0.4165 0.0336
O: 0.5359 0.8151 0.9037
O: 0.6645 0.1013 0.8633
O: 0.6829 0.9278 0.3188
O: 0.7191 0.3071 0.3651
O: 0.7809 0.8071 0.8651
O: 0.8171 0.4278 0.8188
O: 0.8355 0.6013 0.3633
O: 0.9641 0.3151 0.4037
O: 0.9767 0.9165 0.5336



What did the second record say?
The following is a theoretical powder X-ray diffraction pattern of La2TcAs2H4. It was derived from a crystal structure in Alexandria, relaxed with PBE, using copper Kα.
Peak positions follow from Bragg's law for the DFT cell and can differ from measured ones.

Main lines, in order of falling intensity (2θ from 10° to 90°):
two_theta	d/Å	I_rel
29.9	2.986	100.0
31.2	2.870	48.5
42.8	2.111	38.6
37.9	2.373	30.2
22.7	3.912	25.9
37.6	2.390	24.6
48.8	1.866	22.7
53.9	1.701	20.3
70.5	1.335	16.9
56.2	1.636	15.0
49.0	1.858	13.6
62.2	1.493	12.5

Atomic structure:
Lattice parameters (Å, degrees): 5.7562 5.7562 5.7562 117.51 117.51 94.36
Element x y z (fractional)
La: 0.2500 0.7500 0.5000
La: 0.7500 0.2500 0.5000
Tc: 0.0000 0.0000 0.0000
As: 0.3176 0.3176 0.0000
As: 0.6824 0.6824 0.0000
H: 0.2112 0.2112 0.4224
H: 0.2112 0.7888 0.0000
H: 0.7888 0.2112 0.0000
H: 0.7888 0.7888 0.5776